Calculated X-ray powder pattern
Compound: In6Bi2Pb5
Radiation: CuKα
Structure: a crystal structure in Alexandria, relaxed with PBE
Intensities are scaled so that the largest is 100.

Cell and atoms:
Unit cell a=6.132 b=7.908 c=9.046 alpha=115.24 beta=90.16 gamma=99.72
Space group P-1 (No. 2)
Asymmetric unit:
1 In 0.039 0.230 0.152 (multiplicity 2)
2 In 0.190 0.153 0.772 (multiplicity 2)
3 In 0.428 0.539 0.693 (multiplicity 2)
4 Bi 0.339 0.080 0.382 (multiplicity 2)
5 Pb 0.114 0.694 0.464 (multiplicity 2)
6 Pb 0.272 0.613 0.077 (multiplicity 2)
7 Pb 0.500 0.000 0.000 (multiplicity 1)

Main lines, low angle first (10° ≤ 2θ ≤ 90°):
- 2θ = 30.92°, intensity 53, hkl 2 -1 1
- 2θ = 31.31°, intensity 52, hkl -1 1 2
- 2θ = 31.77°, intensity 100, hkl 1 2 0
- 2θ = 35.49°, intensity 37, hkl 1 -3 1
- 2θ = 36.45°, intensity 35, hkl 2 1 -2
- 2θ = 37.43°, intensity 32, hkl 1 0 3
- 2θ = 50.92°, intensity 13, hkl -3 2 1
- 2θ = 52.22°, intensity 13, hkl 2 -3 4
- 2θ = 52.65°, intensity 12, hkl 1 4 -3
- 2θ = 63.94°, intensity 14, hkl 0 1 5